Calculated powder X-ray diffraction pattern
Compound: Pb2Au3
Radiation: Cu Kα X-rays
Structure: a crystal structure in Alexandria, relaxed with PBE
Kinematic intensities with the Lorentz-polarization factor, no thermal factor.

Structural model:
```
Pb2Au3
1.0
4.0977 0.0000 0.0000
-2.0488 3.5487 0.0000
0.0000 0.0000 26.0933
Pb Au
6 9
Direct
0.0000 0.0000 0.0952 Pb
0.0000 0.0000 0.9048 Pb
0.3333 0.6667 0.5715 Pb
0.3333 0.6667 0.7618 Pb
0.6667 0.3333 0.2382 Pb
0.6667 0.3333 0.4285 Pb
0.0000 0.0000 0.3047 Au
0.0000 0.0000 0.5000 Au
0.0000 0.0000 0.6953 Au
0.3333 0.6667 0.1667 Au
0.3333 0.6667 0.3619 Au
0.3333 0.6667 0.9714 Au
0.6667 0.3333 0.0286 Au
0.6667 0.3333 0.6381 Au
0.6667 0.3333 0.8333 Au
```

The 10 most intense peaks (2θ = 10–90°), by angle:
hkl, two_theta, Rel. int.
0 1 5, 30.46, 100
1 0 10, 43.03, 38
1 1 0, 44.21, 38
0 0 15, 52.61, 6
2 0 5, 54.63, 20
0 2 10, 63.39, 12
1 1 15, 71.09, 16
1 2 5, 72.80, 17
2 1 10, 80.52, 13
3 0 0, 81.34, 8